(1)
Diffraction record for Li2WO12. The powder diffraction line list is simulated, not measured: it uses the PBE+U geometry in the Materials Project and Cu Kα.

Atomic structure:
a = 6.811 Å, b = 10.156 Å, c = 12.880 Å
α = 90.00°, β = 95.74°, γ = 90.00°
Fractional coordinates of all 60 atoms:
Li1 0.110 0.078 0.340
Li2 0.110 0.422 0.840
Li3 0.286 0.183 0.050
Li4 0.286 0.317 0.550
Li5 0.714 0.683 0.450
Li6 0.714 0.817 0.950
Li7 0.890 0.578 0.160
Li8 0.890 0.922 0.660
W1 0.469 0.616 0.250
W2 0.469 0.884 0.750
W3 0.531 0.116 0.250
W4 0.531 0.384 0.750
O1 0.047 0.124 0.544
O2 0.047 0.376 0.044
O3 0.079 0.212 0.466
O4 0.079 0.288 0.966
O5 0.090 0.504 0.502
O6 0.090 0.996 0.002
O7 0.133 0.582 0.957
O8 0.133 0.918 0.457
O9 0.181 0.577 0.217
O10 0.181 0.923 0.717
O11 0.236 0.147 0.209
O12 0.236 0.353 0.709
O13 0.287 0.004 0.230
O14 0.287 0.496 0.730
O15 0.303 0.043 0.724
O16 0.303 0.457 0.224
O17 0.421 0.747 0.359
O18 0.421 0.753 0.859
O19 0.452 0.612 0.404
O20 0.452 0.888 0.904
O21 0.459 0.742 0.641
O22 0.459 0.758 0.141
O23 0.470 0.136 0.400
O24 0.470 0.364 0.900
O25 0.530 0.636 0.100
O26 0.530 0.864 0.600
O27 0.541 0.242 0.859
O28 0.541 0.258 0.359
O29 0.548 0.112 0.096
O30 0.548 0.388 0.596
O31 0.579 0.247 0.141
O32 0.579 0.253 0.641
O33 0.697 0.543 0.776
O34 0.697 0.957 0.276
O35 0.713 0.504 0.270
O36 0.713 0.996 0.770
O37 0.764 0.647 0.291
O38 0.764 0.853 0.791
O39 0.819 0.077 0.283
O40 0.819 0.423 0.783
O41 0.867 0.082 0.543
O42 0.867 0.418 0.043
O43 0.910 0.004 0.998
O44 0.910 0.496 0.498
O45 0.921 0.712 0.034
O46 0.921 0.788 0.534
O47 0.953 0.624 0.956
O48 0.953 0.876 0.456

Top 6 peaks for 10 to 80 degrees two-theta, by angle:
2θ/deg, d (Å), Rel. int.
13.06, 6.777, 77
13.82, 6.407, 62
18.08, 4.907, 61
18.80, 4.721, 100
20.00, 4.439, 44
22.55, 3.942, 48



(2)
Diffraction record for Li3W8O24. The powder diffraction line list is simulated, not measured: it uses the PBE+U geometry in the Materials Project and Cu Kα.

Atomic structure:
a = 7.593 Å, b = 7.593 Å, c = 7.593 Å
α = 90.00°, β = 90.00°, γ = 90.00°
Fractional coordinates of all 35 atoms:
Li1 0.000 0.000 0.500
Li2 0.000 0.500 0.000
Li3 0.500 0.000 0.000
W1 0.251 0.251 0.251
W2 0.251 0.251 0.749
W3 0.251 0.749 0.251
W4 0.251 0.749 0.749
W5 0.749 0.251 0.251
W6 0.749 0.251 0.749
W7 0.749 0.749 0.251
W8 0.749 0.749 0.749
O1 0.000 0.293 0.200
O2 0.000 0.293 0.800
O3 0.000 0.707 0.200
O4 0.000 0.707 0.800
O5 0.200 0.000 0.293
O6 0.200 0.000 0.707
O7 0.212 0.289 0.500
O8 0.212 0.711 0.500
O9 0.289 0.500 0.212
O10 0.289 0.500 0.788
O11 0.293 0.200 0.000
O12 0.293 0.800 0.000
O13 0.500 0.212 0.289
O14 0.500 0.212 0.711
O15 0.500 0.788 0.289
O16 0.500 0.788 0.711
O17 0.707 0.200 0.000
O18 0.707 0.800 0.000
O19 0.711 0.500 0.212
O20 0.711 0.500 0.788
O21 0.788 0.289 0.500
O22 0.788 0.711 0.500
O23 0.800 0.000 0.293
O24 0.800 0.000 0.707

Top 6 peaks for 10 to 80 degrees two-theta, by angle:
2θ/deg, d (Å), Rel. int.
23.43, 3.796, 100
33.38, 2.685, 61
47.92, 1.898, 18
54.01, 1.698, 42
59.66, 1.550, 28
75.06, 1.265, 18



(3)
Diffraction record for Li4WO5. The powder diffraction line list is simulated, not measured: it uses the PBE+U geometry in the Materials Project and Cu Kα.

Atomic structure:
a = 5.205 Å, b = 5.205 Å, c = 5.205 Å
α = 98.72°, β = 98.72°, γ = 134.16°
Fractional coordinates of all 10 atoms:
Li1 0.105 0.684 0.790
Li2 0.316 0.105 0.421
Li3 0.684 0.895 0.579
Li4 0.895 0.316 0.210
W1 0.514 0.514 0.000
O1 0.226 0.413 0.644
O2 0.413 0.769 0.187
O3 0.582 0.226 0.813
O4 0.769 0.582 0.356
O5 0.999 0.999 0.000

Top 6 peaks for 10 to 80 degrees two-theta, by angle:
2θ/deg, d (Å), Rel. int.
18.51, 4.795, 100
25.60, 3.480, 94
26.29, 3.390, 40
37.02, 2.428, 43
42.14, 2.144, 37
63.11, 1.473, 21



(4)
Diffraction record for Li7W5O16. The powder diffraction line list is simulated, not measured: it uses the PBE+U geometry in the Materials Project and Cu Kα.

Atomic structure:
a = 6.044 Å, b = 6.053 Å, c = 9.921 Å
α = 90.16°, β = 90.03°, γ = 119.48°
Fractional coordinates of all 28 atoms:
Li1 0.000 0.000 0.000
Li2 0.011 0.504 0.189
Li3 0.173 0.334 0.503
Li4 0.320 0.186 0.267
Li5 0.339 0.180 0.785
Li6 0.514 0.514 0.001
Li7 0.663 0.842 0.701
W1 0.013 0.507 0.782
W2 0.166 0.827 0.500
W3 0.514 0.000 0.010
W4 0.679 0.337 0.500
W5 0.696 0.832 0.263
O1 0.007 0.498 0.391
O2 0.015 0.996 0.379
O3 0.162 0.344 0.860
O4 0.172 0.820 0.877
O5 0.287 0.661 0.639
O6 0.343 0.168 0.599
O7 0.347 0.169 0.080
O8 0.375 0.710 0.143
O9 0.522 0.009 0.387
O10 0.543 0.509 0.390
O11 0.658 0.854 0.897
O12 0.693 0.337 0.874
O13 0.810 0.140 0.141
O14 0.820 0.686 0.147
O15 0.840 0.220 0.632
O16 0.845 0.649 0.635

Top 6 peaks for 10 to 80 degrees two-theta, by angle:
2θ/deg, d (Å), Rel. int.
16.97, 5.225, 54
19.08, 4.651, 100
19.21, 4.621, 78
24.66, 3.611, 44
24.75, 3.598, 60
30.68, 2.914, 37



(5)
Diffraction record for Li2W2O7. The powder diffraction line list is simulated, not measured: it uses the PBE+U geometry in the Materials Project and Cu Kα.

Atomic structure:
a = 5.185 Å, b = 7.104 Å, c = 8.507 Å
α = 69.91°, β = 77.84°, γ = 85.75°
Fractional coordinates of all 22 atoms:
Li1 0.140 0.001 0.268
Li2 0.309 0.742 0.901
Li3 0.691 0.258 0.099
Li4 0.860 0.999 0.732
W1 0.185 0.459 0.334
W2 0.302 0.254 0.822
W3 0.698 0.746 0.178
W4 0.815 0.541 0.666
O1 0.049 0.607 0.129
O2 0.081 0.213 0.367
O3 0.177 0.416 0.577
O4 0.181 0.024 0.818
O5 0.350 0.750 0.299
O6 0.356 0.187 0.037
O7 0.462 0.560 0.766
O8 0.538 0.440 0.234
O9 0.644 0.813 0.963
O10 0.650 0.250 0.701
O11 0.819 0.976 0.182
O12 0.823 0.584 0.423
O13 0.919 0.787 0.633
O14 0.951 0.393 0.871

Top 6 peaks for 10 to 80 degrees two-theta, by angle:
2θ/deg, d (Å), Rel. int.
13.27, 6.672, 83
14.25, 6.214, 100
22.01, 4.038, 76
22.12, 4.018, 50
25.30, 3.520, 47
25.85, 3.446, 44



(6)
Diffraction record for Li3W8O24. The powder diffraction line list is simulated, not measured: it uses the PBE+U geometry in the Materials Project and Cu Kα.

Atomic structure:
a = 7.555 Å, b = 7.559 Å, c = 7.595 Å
α = 90.00°, β = 90.00°, γ = 90.00°
Fractional coordinates of all 35 atoms:
Li1 0.000 0.000 0.000
Li2 0.000 0.500 0.000
Li3 0.500 0.000 0.500
W1 0.251 0.251 0.251
W2 0.251 0.251 0.749
W3 0.251 0.749 0.251
W4 0.251 0.749 0.749
W5 0.749 0.251 0.251
W6 0.749 0.251 0.749
W7 0.749 0.749 0.251
W8 0.749 0.749 0.749
O1 0.000 0.292 0.294
O2 0.000 0.292 0.706
O3 0.000 0.708 0.294
O4 0.000 0.708 0.706
O5 0.199 0.000 0.205
O6 0.199 0.000 0.795
O7 0.202 0.299 0.000
O8 0.202 0.701 0.000
O9 0.295 0.197 0.500
O10 0.295 0.500 0.287
O11 0.295 0.500 0.713
O12 0.295 0.803 0.500
O13 0.500 0.208 0.207
O14 0.500 0.208 0.793
O15 0.500 0.792 0.207
O16 0.500 0.792 0.793
O17 0.705 0.197 0.500
O18 0.705 0.500 0.287
O19 0.705 0.500 0.713
O20 0.705 0.803 0.500
O21 0.798 0.299 0.000
O22 0.798 0.701 0.000
O23 0.801 0.000 0.205
O24 0.801 0.000 0.795

Top 6 peaks for 10 to 80 degrees two-theta, by angle:
2θ/deg, d (Å), Rel. int.
23.42, 3.798, 51
23.55, 3.778, 100
33.48, 2.676, 93
41.32, 2.185, 27
54.26, 1.691, 42
59.91, 1.544, 29